Li3AsPt: calculated X-ray powder pattern (Cu Kα (weighted mean of Kα1 and Kα2)), based on a GGA-PBE-relaxed structure.
Kinematic intensities with the Lorentz-polarization factor, no thermal factor.

Most intense lines, 15 to 90 degrees two-theta, sorted by position:
2θ = 20.80°, d 4.271, rel. 100; 2θ = 22.38°, d 3.973, rel. 17; 2θ = 36.44°, d 2.466, rel. 24; 2θ = 40.19°, d 2.244, rel. 19; 2θ = 42.32°, d 2.135, rel. 19; 2θ = 50.68°, d 1.801, rel. 19

Atomic structure:
```
data_Li3AsPt
_space_group_name_H-M_alt 'R -3 m'
_space_group_IT_number 166
_space_group_name_Hall '-R 3 2"'
_cell_length_a 8.5420
_cell_length_b 8.5420
_cell_length_c 4.7096
_cell_angle_alpha 90.00
_cell_angle_beta 90.00
_cell_angle_gamma 120.00
loop_
_atom_site_label
_atom_site_fract_x
_atom_site_fract_y
_atom_site_fract_z
Li1 0.0000 0.5000 0.0000
As1 0.0000 0.0000 0.0000
Pt1 0.0000 0.0000 0.5000
```